Structure and calculated X-ray diffraction stick pattern of HfMg6BO7 (a crystal structure in Alexandria, relaxed with PBE; Cu Kα).
Peak positions follow from Bragg's law for the DFT cell and can differ from measured ones.

The 8 most intense peaks (10 to 90 degrees two-theta), low angle first:
2θ 10.0, intensity 69, (0 0 1)
2θ 20.6, intensity 69, (1 0 0)
2θ 22.9, intensity 100, (1 0 1)
2θ 28.9, intensity 49, (1 0 2)
2θ 35.7, intensity 44, (1 1 2)
2θ 40.8, intensity 34, (0 0 4)
2θ 41.8, intensity 65, (2 0 0)
2θ 59.9, intensity 40, (2 0 4)

Structure:
Cell lengths 4.317, 4.317, 8.843 Å; angles 90.00, 90.00, 90.00 degrees
Space group P4mm (No. 99)
Symmetry-distinct sites (fractional):
1 Hf 0.000 0.000 0.000 x1
2 Mg 0.000 0.000 0.501 x1
3 Mg 0.000 0.500 0.257 x2
4 Mg 0.000 0.500 0.749 x2
5 Mg 0.500 0.500 0.503 x1
6 B 0.500 0.500 0.217 x1
7 O 0.000 0.000 0.240 x1
8 O 0.000 0.000 0.756 x1
9 O 0.000 0.500 0.498 x2
10 O 0.000 0.500 0.988 x2
11 O 0.500 0.500 0.726 x1

Structure and calculated X-ray diffraction stick pattern of Pr3ThPt4 (a crystal structure in Alexandria, relaxed with PBE; Cu Kα).
Peak positions follow from Bragg's law for the DFT cell and can differ from measured ones.

The 8 most intense peaks (10 to 90 degrees two-theta), low angle first:
2θ 29.9, intensity 100, (1 2 1)
2θ 42.8, intensity 38, (2 0 2)
2θ 42.9, intensity 38, (1 2 -3)
2θ 53.2, intensity 20, (0 0 4)
2θ 70.4, intensity 12, (4 4 0)
2θ 70.6, intensity 17, (3 2 -5)
2θ 78.5, intensity 9, (4 4 -4)
2θ 78.6, intensity 11, (1 2 5)

Structure:
Cell lengths 7.332, 8.435, 7.303 Å; angles 90.00, 109.53, 90.00 degrees
Space group P2/c (No. 13)
Symmetry-distinct sites (fractional):
1 Pr 0.000 0.123 0.250 x2
2 Pr 0.000 0.375 0.750 x2
3 Pr 0.500 0.124 0.750 x2
4 Th 0.500 0.375 0.250 x2
5 Pt 0.254 0.131 0.006 x4
6 Pt 0.259 0.380 0.499 x4

Structure and calculated X-ray diffraction stick pattern of Cd3Ag3Au (a crystal structure in Alexandria, relaxed with PBE; Cu Kα).
Peak positions follow from Bragg's law for the DFT cell and can differ from measured ones.

The 8 most intense peaks (10 to 90 degrees two-theta), low angle first:
2θ 28.7, intensity 54, (2 -1 3)
2θ 31.0, intensity 41, (2 0 2)
2θ 36.4, intensity 100, (2 -1 6)
2θ 36.7, intensity 49, (2 0 5)
2θ 37.2, intensity 41, (0 1 8)
2θ 40.0, intensity 81, (2 1 1)
2θ 42.5, intensity 33, (0 2 7)
2θ 45.3, intensity 42, (3 0 0)

Structure:
Cell lengths 6.9306, 6.9306, 21.1461 Å; angles 90.00, 90.00, 120.00 degrees
Space group R-3 (No. 148, hexagonal axes)
Symmetry-distinct sites (fractional):
1 Cd 0.0402 0.4300 0.2250 x18
2 Ag 0.0392 0.2650 0.6998 x18
3 Au 0.0000 0.0000 0.1870 x6

Structure and calculated X-ray diffraction stick pattern of AcDy2ErSb4 (a crystal structure in Alexandria, relaxed with PBE; Cu Kα).
Peak positions follow from Bragg's law for the DFT cell and can differ from measured ones.

The 8 most intense peaks (10 to 90 degrees two-theta), low angle first:
2θ 24.3, intensity 7, (2 0 0)
2θ 28.1, intensity 100, (1 1 1)
2θ 40.2, intensity 76, (0 2 0)
2θ 49.8, intensity 27, (2 2 -2)
2θ 58.1, intensity 13, (2 2 2)
2θ 65.8, intensity 35, (1 3 1)
2θ 73.0, intensity 26, (1 3 -3)
2θ 86.8, intensity 6, (0 4 0)

Structure:
Cell lengths 7.768, 4.491, 7.772 Å; angles 90.00, 109.42, 90.00 degrees
Space group P2/m (No. 10)
Symmetry-distinct sites (fractional):
1 Ac 0.000 0.000 0.000 x1
2 Dy 0.000 0.500 0.500 x1
3 Dy 0.500 0.000 0.500 x1
4 Er 0.500 0.500 0.000 x1
5 Sb 0.259 0.000 0.744 x2
6 Sb 0.267 0.500 0.265 x2

Structure and calculated X-ray diffraction stick pattern of CeMn3Ga9 (a crystal structure in Alexandria, relaxed with PBE; Cu Kα).
Peak positions follow from Bragg's law for the DFT cell and can differ from measured ones.

The 8 most intense peaks (10 to 90 degrees two-theta), low angle first:
2θ 34.3, intensity 29, (1 3 1)
2θ 34.8, intensity 26, (2 0 -1)
2θ 34.9, intensity 29, (1 3 -2)
2θ 39.7, intensity 36, (1 5 0)
2θ 39.9, intensity 66, (2 2 0)
2θ 40.0, intensity 100, (0 4 2)
2θ 40.7, intensity 32, (2 2 -2)
2θ 45.1, intensity 27, (2 4 -1)

Structure:
Cell lengths 5.159, 12.877, 6.735 Å; angles 90.00, 110.82, 90.00 degrees
Space group C2/m (No. 12)
Symmetry-distinct sites (fractional):
1 Ce 0.000 0.000 0.000 x2
2 Mn 0.000 0.500 0.500 x2
3 Mn 0.250 0.250 0.000 x4
4 Ga 0.000 0.000 0.500 x2
5 Ga 0.096 0.386 0.217 x8
6 Ga 0.172 0.177 0.335 x8

Structure and calculated X-ray diffraction stick pattern of CsNdScTe3 (a crystal structure in Alexandria, relaxed with PBE; Cu Kα).
Peak positions follow from Bragg's law for the DFT cell and can differ from measured ones.

The 8 most intense peaks (10 to 90 degrees two-theta), low angle first:
2θ 10.0, intensity 33, (1 0 -1)
2θ 25.6, intensity 100, (2 1 -1)
2θ 26.3, intensity 26, (2 1 0)
2θ 30.1, intensity 17, (1 0 3)
2θ 34.9, intensity 22, (4 0 -1)
2θ 38.0, intensity 47, (0 2 0)
2θ 42.3, intensity 20, (3 1 2)
2θ 46.4, intensity 13, (0 2 3)

Structure:
Cell lengths 10.346, 4.733, 11.177 Å; angles 90.00, 110.54, 90.00 degrees
Space group P2_1/m (No. 11)
Symmetry-distinct sites (fractional):
1 Cs 0.212 0.250 0.236 x2
2 Nd 0.337 0.750 0.866 x2
3 Sc 0.087 0.250 0.607 x2
4 Te 0.120 0.250 0.866 x2
5 Te 0.204 0.750 0.547 x2
6 Te 0.471 0.750 0.165 x2

Structure and calculated X-ray diffraction stick pattern of Pu2NpS5 (a crystal structure in Alexandria, relaxed with PBE; Cu Kα).
Peak positions follow from Bragg's law for the DFT cell and can differ from measured ones.

The 8 most intense peaks (10 to 90 degrees two-theta), low angle first:
2θ 24.3, intensity 48, (0 0 2)
2θ 26.3, intensity 100, (3 0 1)
2θ 26.7, intensity 70, (1 2 1)
2θ 27.3, intensity 59, (2 2 0)
2θ 34.8, intensity 25, (3 2 1)
2θ 36.9, intensity 57, (2 2 2)
2θ 47.4, intensity 40, (5 2 1)
2θ 53.5, intensity 37, (3 4 1)

Structure:
Cell lengths 11.475, 7.932, 7.311 Å; angles 90.00, 90.00, 90.00 degrees
Space group Pnma (No. 62)
Symmetry-distinct sites (fractional):
1 Pu 0.178 0.002 0.022 x8
2 Np 0.010 0.250 0.577 x4
3 S 0.000 0.250 0.961 x4
4 S 0.094 0.547 0.667 x8
5 S 0.189 0.250 0.332 x4
6 S 0.217 0.750 0.300 x4

Structure and calculated X-ray diffraction stick pattern of TbPm14Th (a crystal structure in Alexandria, relaxed with PBE; Cu Kα).
Peak positions follow from Bragg's law for the DFT cell and can differ from measured ones.

The 8 most intense peaks (10 to 90 degrees two-theta), low angle first:
2θ 30.1, intensity 100, (2 0 2)
2θ 34.8, intensity 17, (0 0 4)
2θ 34.9, intensity 34, (2 2 0)
2θ 50.1, intensity 36, (4 0 0)
2θ 59.4, intensity 14, (2 0 6)
2θ 59.6, intensity 29, (4 2 2)
2θ 62.5, intensity 12, (4 0 4)
2θ 81.4, intensity 12, (4 2 6)

Structure:
Cell lengths 7.276, 7.276, 10.322 Å; angles 90.00, 90.00, 90.00 degrees
Space group P4/mmm (No. 123)
Symmetry-distinct sites (fractional):
1 Tb 0.000 0.000 0.000 x1
2 Pm 0.000 0.000 0.500 x1
3 Pm 0.000 0.500 0.000 x2
4 Pm 0.000 0.500 0.500 x2
5 Pm 0.252 0.252 0.247 x8
6 Pm 0.500 0.500 0.500 x1
7 Th 0.500 0.500 0.000 x1

Structure and calculated X-ray diffraction stick pattern of Pr2TeH (a crystal structure in Alexandria, relaxed with PBE; Cu Kα).
Peak positions follow from Bragg's law for the DFT cell and can differ from measured ones.

The 8 most intense peaks (10 to 90 degrees two-theta), low angle first:
2θ 25.9, intensity 24, (1 0 1)
2θ 26.9, intensity 21, (0 1 2)
2θ 30.5, intensity 100, (1 0 4)
2θ 32.9, intensity 40, (0 1 5)
2θ 42.1, intensity 27, (0 1 8)
2θ 45.2, intensity 38, (1 1 0)
2θ 55.5, intensity 18, (0 2 4)
2θ 59.8, intensity 25, (1 1 9)

Structure:
Cell lengths 4.0151, 4.0151, 21.8557 Å; angles 90.00, 90.00, 120.00 degrees
Space group R-3m (No. 166, hexagonal axes)
Symmetry-distinct sites (fractional):
1 Pr 0.0000 0.0000 0.2328 x6
2 Te 0.0000 0.0000 0.0000 x3
3 H 0.0000 0.0000 0.5000 x3

Structure and calculated X-ray diffraction stick pattern of K3Tl5Pd2 (a crystal structure in Alexandria, relaxed with PBE; Cu Kα).
Peak positions follow from Bragg's law for the DFT cell and can differ from measured ones.

The 8 most intense peaks (10 to 90 degrees two-theta), low angle first:
2θ 10.3, intensity 47, (1 1 0)
2θ 16.3, intensity 100, (2 1 0)
2θ 21.4, intensity 50, (0 0 1)
2θ 30.3, intensity 73, (4 1 0)
2θ 31.7, intensity 91, (3 1 1)
2θ 34.3, intensity 99, (3 2 1)
2θ 36.6, intensity 56, (4 0 1)
2θ 39.6, intensity 40, (4 2 1)

Structure:
Cell lengths 12.176, 12.176, 4.143 Å; angles 90.00, 90.00, 90.00 degrees
Space group P4/mbm (No. 127)
Symmetry-distinct sites (fractional):
1 K 0.000 0.000 0.000 x2
2 K 0.179 0.321 0.000 x4
3 Tl 0.000 0.500 0.500 x2
4 Tl 0.067 0.773 0.500 x8
5 Pd 0.114 0.614 0.000 x4

Structure and calculated X-ray diffraction stick pattern of La2MgZn10 (a crystal structure in Alexandria, relaxed with PBE; Cu Kα).
Peak positions follow from Bragg's law for the DFT cell and can differ from measured ones.

The 8 most intense peaks (10 to 90 degrees two-theta), low angle first:
2θ 29.3, intensity 77, (1 1 2)
2θ 29.4, intensity 59, (1 1 -4)
2θ 30.4, intensity 72, (1 2 0)
2θ 37.8, intensity 74, (2 1 0)
2θ 37.9, intensity 100, (2 1 -4)
2θ 39.0, intensity 70, (1 0 4)
2θ 39.1, intensity 70, (1 0 -6)
2θ 43.1, intensity 61, (0 3 3)

Structure:
Cell lengths 5.472, 7.249, 13.826 Å; angles 90.00, 113.03, 90.00 degrees
Space group P2_1/c (No. 14)
Symmetry-distinct sites (fractional):
1 La 0.088 0.232 0.103 x4
2 Mg 0.500 0.000 0.500 x2
3 Zn 0.079 0.185 0.348 x4
4 Zn 0.294 0.602 0.786 x4
5 Zn 0.318 0.504 0.306 x4
6 Zn 0.384 0.690 0.148 x4
7 Zn 0.469 0.157 0.991 x4

Structure and calculated X-ray diffraction stick pattern of SrMg5Br12 (a crystal structure in Alexandria, relaxed with PBE; Cu Kα).
Peak positions follow from Bragg's law for the DFT cell and can differ from measured ones.

The 8 most intense peaks (10 to 90 degrees two-theta), low angle first:
2θ 12.4, intensity 54, (0 0 2)
2θ 25.0, intensity 24, (0 0 4)
2θ 26.5, intensity 30, (2 0 -1)
2θ 28.7, intensity 100, (1 3 2)
2θ 32.0, intensity 52, (2 0 -3)
2θ 41.0, intensity 27, (1 3 -5)
2θ 45.9, intensity 35, (3 3 -1)
2θ 46.4, intensity 18, (1 3 6)

Structure:
Cell lengths 6.922, 11.995, 14.238 Å; angles 90.00, 90.15, 90.00 degrees
Space group C2/m (No. 12)
Symmetry-distinct sites (fractional):
1 Sr 0.000 0.000 0.000 x2
2 Mg 0.000 0.166 0.500 x4
3 Mg 0.000 0.333 0.000 x4
4 Mg 0.000 0.500 0.500 x2
5 Br 0.130 0.500 0.111 x4
6 Br 0.166 0.000 0.397 x4
7 Br 0.166 0.333 0.397 x8
8 Br 0.186 0.185 0.111 x8